[1]
# TlAg
Calculated X-ray powder pattern, Cu Kα (λ = 1.5418 Å). Input: a DFT-relaxed cell (PBE, Alexandria).

Atomic structure:
Lattice parameters (Å, degrees): 3.3582 17.0104 5.0314 90.00 90.00 90.00
Space group Pmmn (No. 59, origin choice 2)
Unique sites:
Tl (0.2500, 0.0634, 0.2466) [4 per cell]
Tl (0.2500, 0.7500, 0.8497) [2 per cell]
Ag (0.2500, 0.2500, 0.6374) [2 per cell]
Ag (0.2500, 0.6145, 0.2576) [4 per cell]

Principal peaks in the range 2θ from 15° to 90°, in order of falling intensity:
two_theta	d (Å)	I (rel.)
33.78	2.654	100
31.75	2.818	55
38.56	2.335	51
31.56	2.835	46
35.69	2.516	35
32.04	2.793	26
54.66	1.679	18
54.22	1.692	18
37.64	2.390	17
52.84	1.733	16

=====

[2]
# NpGaNi4Ge2
Calculated X-ray powder pattern, Cu Kα (λ = 1.5418 Å). Input: a DFT-relaxed cell (PBE, Alexandria).

Atomic structure:
Lattice parameters (Å, degrees): 4.0504 4.0504 24.7232 90.00 90.00 120.00
Space group R-3m (No. 166, hexagonal axes)
Unique sites:
Np (0.0000, 0.0000, 0.0000) [3 per cell]
Ga (0.0000, 0.0000, 0.5000) [3 per cell]
Ni (0.0000, 0.0000, 0.1349) [6 per cell]
Ni (0.0000, 0.0000, 0.4045) [6 per cell]
Ge (0.0000, 0.0000, 0.2493) [6 per cell]

Principal peaks in the range 2θ from 15° to 90°, in order of falling intensity:
two_theta	d (Å)	I (rel.)
44.75	2.025	100
38.84	2.319	99
36.09	2.489	41
29.27	3.051	33
31.26	2.861	28
26.41	3.375	27
60.72	1.525	26
64.52	1.444	26
78.50	1.218	25
82.51	1.169	19

=====

[3]
# NdSmCu
Calculated X-ray powder pattern, Cu Kα (λ = 1.5418 Å). Input: a DFT-relaxed cell (PBE, Alexandria).

Atomic structure:
Lattice parameters (Å, degrees): 3.5818 3.5818 12.6125 90.00 90.00 90.00
Space group I4mm (No. 107)
Unique sites:
Nd (0.0000, 0.0000, 0.0000) [2 per cell]
Sm (0.0000, 0.0000, 0.2780) [2 per cell]
Cu (0.0000, 0.0000, 0.6445) [2 per cell]

Principal peaks in the range 2θ from 15° to 90°, in order of falling intensity:
two_theta	d (Å)	I (rel.)
32.85	2.726	100
35.44	2.533	51
62.00	1.497	31
25.86	3.446	25
50.99	1.791	18
45.96	1.975	16
28.30	3.153	15
43.90	2.062	12
57.23	1.610	10
56.93	1.618	9

=====

[4]
# LaPm2Pr7
Calculated X-ray powder pattern, Cu Kα (λ = 1.5418 Å). Input: a DFT-relaxed cell (PBE, Alexandria).

Atomic structure:
Lattice parameters (Å, degrees): 5.6944 7.9998 16.4151 90.00 90.00 90.00
Space group Immm (No. 71)
Unique sites:
La (0.0000, 0.0000, 0.0000) [2 per cell]
Pm (0.0000, 0.0000, 0.2127) [4 per cell]
Pr (0.0000, 0.0000, 0.5000) [2 per cell]
Pr (0.0000, 0.3007, 0.3701) [8 per cell]
Pr (0.0000, 0.5000, 0.1521) [4 per cell]

Principal peaks in the range 2θ from 15° to 90°, in order of falling intensity:
two_theta	d (Å)	I (rel.)
29.05	3.074	100
31.43	2.846	79
31.86	2.809	73
27.79	3.210	45
56.21	1.636	29
31.23	2.864	27
64.63	1.442	22
37.23	2.415	20
44.89	2.019	20
54.48	1.684	17

=====

[5]
# Pa5Cd3O16
Calculated X-ray powder pattern, Cu Kα (λ = 1.5418 Å). Input: a DFT-relaxed cell (PBE, Alexandria).

Atomic structure:
Lattice parameters (Å, degrees): 11.8296 7.0845 10.0635 90.00 90.83 90.00
Space group Cm (No. 8)
Unique sites:
Pa (0.0000, 0.0000, 0.0000) [2 per cell]
Pa (0.0120, 0.5000, 0.2094) [2 per cell]
Pa (0.0917, 0.2488, 0.7094) [4 per cell]
Pa (0.3353, 0.0000, 0.4870) [2 per cell]
Cd (0.2597, 0.2492, 0.1966) [4 per cell]
Cd (0.3408, 0.5000, 0.6897) [2 per cell]
O (0.0022, 0.5000, 0.6134) [2 per cell]
O (0.0285, 0.0000, 0.6045) [2 per cell]
O (0.0779, 0.2379, 0.1002) [4 per cell]
O (0.1409, 0.0000, 0.8382) [2 per cell]
O (0.1620, 0.5000, 0.8027) [2 per cell]
O (0.1665, 0.5000, 0.3007) [2 per cell]
O (0.2157, 0.0000, 0.3371) [2 per cell]
O (0.2518, 0.2353, 0.6044) [4 per cell]
O (0.3485, 0.5000, 0.1016) [2 per cell]
O (0.3653, 0.0000, 0.1005) [2 per cell]
O (0.4250, 0.1839, 0.3535) [4 per cell]
O (0.4518, 0.2976, 0.8361) [4 per cell]

Principal peaks in the range 2θ from 15° to 90°, in order of falling intensity:
two_theta	d (Å)	I (rel.)
30.83	2.900	100
17.10	5.185	74
30.67	2.915	67
17.63	5.031	63
31.66	2.826	60
17.50	5.067	53
23.04	3.861	50
16.99	5.220	45
53.17	1.723	39
29.39	3.039	36

=====

[6]
# PmMg9Ag3
Calculated X-ray powder pattern, Cu Kα (λ = 1.5418 Å). Input: a DFT-relaxed cell (PBE, Alexandria).

Atomic structure:
Lattice parameters (Å, degrees): 5.6166 14.1959 7.6165 90.00 111.16 90.00
Space group C2/m (No. 12)
Unique sites:
Pm (0.0000, 0.0000, 0.0000) [2 per cell]
Mg (0.0000, 0.0000, 0.5000) [2 per cell]
Mg (0.0979, 0.3912, 0.2100) [8 per cell]
Mg (0.1719, 0.1765, 0.3402) [8 per cell]
Ag (0.0000, 0.5000, 0.5000) [2 per cell]
Ag (0.2500, 0.2500, 0.0000) [4 per cell]

Principal peaks in the range 2θ from 15° to 90°, in order of falling intensity:
two_theta	d (Å)	I (rel.)
35.78	2.510	100
25.08	3.550	93
36.57	2.457	73
36.76	2.445	70
18.14	4.890	52
17.67	5.021	47
36.02	2.494	38
31.02	2.883	38
58.10	1.588	32
25.43	3.502	31

=====

[7]
# TlCd6Pb12
Calculated X-ray powder pattern, Cu Kα (λ = 1.5418 Å). Input: a DFT-relaxed cell (PBE, Alexandria).

Atomic structure:
Lattice parameters (Å, degrees): 10.4590 10.4590 10.4590 90.00 90.00 90.00
Space group Im-3 (No. 204)
Unique sites:
Tl (0.0000, 0.0000, 0.0000) [2 per cell]
Cd (0.0000, 0.3616, 0.5000) [12 per cell]
Pb (0.0000, 0.1880, 0.2655) [24 per cell]

Principal peaks in the range 2θ from 15° to 90°, in order of falling intensity:
two_theta	d (Å)	I (rel.)
32.02	2.795	100
29.59	3.019	54
34.30	2.615	35
54.05	1.697	27
36.45	2.465	22
38.49	2.339	19
50.91	1.794	15
62.83	1.479	14
57.07	1.614	13
52.50	1.743	12

=====

[8]
# Pu2BiO8
Calculated X-ray powder pattern, Cu Kα (λ = 1.5418 Å). Input: a DFT-relaxed cell (PBE, Alexandria).

Atomic structure:
Lattice parameters (Å, degrees): 6.9832 6.9832 4.2104 90.00 90.00 120.00
Space group P-3m1 (No. 164)
Unique sites:
Pu (0.3333, 0.6667, 0.2446) [2 per cell]
Bi (0.0000, 0.0000, 0.5000) [1 per cell]
O (0.1718, 0.3435, 0.2429) [6 per cell]
O (0.3333, 0.6667, 0.7335) [2 per cell]

Principal peaks in the range 2θ from 15° to 90°, in order of falling intensity:
two_theta	d (Å)	I (rel.)
25.51	3.492	100
25.78	3.455	90
45.13	2.009	41
36.59	2.456	23
44.97	2.016	23
52.41	1.746	20
45.63	1.988	19
59.31	1.558	19
59.72	1.549	17
53.00	1.728	15